For Th3P2N8, a crystal structure in Alexandria, relaxed with GGA-PBE gives the calculated X-ray powder pattern in this record (Cu Kα (λ = 1.5418 Å)).

Cell and atoms:
```
data_Th3P2N8
_chemical_formula_sum 'Th3 P2 N8'
_symmetry_space_group_name_H-M 'P 1'
_symmetry_Int_Tables_number 1
_symmetry_space_group_name_Hall 'P 1'
_cell_length_a 7.175
_cell_length_b 7.175
_cell_length_c 7.175
_cell_angle_alpha 44.44
_cell_angle_beta 44.44
_cell_angle_gamma 44.44
loop_
_atom_site_label
_atom_site_type_symbol
_atom_site_fract_x
_atom_site_fract_y
_atom_site_fract_z
Th1 Th 0.000 0.000 0.000
Th2 Th 0.207 0.207 0.207
Th3 Th 0.793 0.793 0.793
P1 P 0.409 0.409 0.409
P2 P 0.591 0.591 0.591
N1 N 0.234 0.731 0.731
N2 N 0.269 0.269 0.766
N3 N 0.269 0.766 0.269
N4 N 0.324 0.324 0.324
N5 N 0.676 0.676 0.676
N6 N 0.731 0.234 0.731
N7 N 0.731 0.731 0.234
N8 N 0.766 0.269 0.269
```

Most intense lines, 5° ≤ 2θ ≤ 70°, in order of rising 2θ:
- 2θ = 19.43°, 4.568 Å, intensity 43
- 2θ = 26.43°, 3.372 Å, intensity 37
- 2θ = 29.89°, 2.989 Å, intensity 100
- 2θ = 33.01°, 2.714 Å, intensity 89
- 2θ = 42.77°, 2.114 Å, intensity 17
- 2θ = 45.13°, 2.009 Å, intensity 39
- 2θ = 51.00°, 1.791 Å, intensity 26
- 2θ = 54.42°, 1.686 Å, intensity 20
- 2θ = 57.03°, 1.615 Å, intensity 34
- 2θ = 58.95°, 1.567 Å, intensity 17



For Tb11Sn10, a crystal structure in Alexandria, relaxed with GGA-PBE gives the calculated X-ray powder pattern in this record (Cu Kα (λ = 1.5418 Å)).

Cell and atoms:
```
data_Tb11Sn10
_chemical_formula_sum 'Tb22 Sn20'
_symmetry_space_group_name_H-M 'P 1'
_symmetry_Int_Tables_number 1
_symmetry_space_group_name_Hall 'P 1'
_cell_length_a 11.907
_cell_length_b 11.907
_cell_length_c 11.907
_cell_angle_alpha 121.25
_cell_angle_beta 121.25
_cell_angle_gamma 87.86
loop_
_atom_site_label
_atom_site_type_symbol
_atom_site_fract_x
_atom_site_fract_y
_atom_site_fract_z
Tb1 Tb 0.060 0.311 0.749
Tb2 Tb 0.102 0.433 0.331
Tb3 Tb 0.102 0.771 0.669
Tb4 Tb 0.166 0.166 0.000
Tb5 Tb 0.229 0.898 0.331
Tb6 Tb 0.311 0.060 0.749
Tb7 Tb 0.311 0.562 0.251
Tb8 Tb 0.326 0.326 0.653
Tb9 Tb 0.326 0.674 0.000
Tb10 Tb 0.433 0.102 0.331
Tb11 Tb 0.438 0.689 0.749
Tb12 Tb 0.562 0.311 0.251
Tb13 Tb 0.567 0.898 0.669
Tb14 Tb 0.674 0.326 0.000
Tb15 Tb 0.674 0.674 0.347
Tb16 Tb 0.689 0.438 0.749
Tb17 Tb 0.689 0.940 0.251
Tb18 Tb 0.771 0.102 0.669
Tb19 Tb 0.834 0.834 0.000
Tb20 Tb 0.898 0.229 0.331
Tb21 Tb 0.898 0.567 0.669
Tb22 Tb 0.940 0.689 0.251
Sn1 Sn 0.030 0.030 0.412
Sn2 Sn 0.030 0.618 0.000
Sn3 Sn 0.129 0.129 0.258
Sn4 Sn 0.129 0.871 0.000
Sn5 Sn 0.144 0.500 0.644
Sn6 Sn 0.250 0.750 0.500
Sn7 Sn 0.382 0.382 0.412
Sn8 Sn 0.382 0.970 0.000
Sn9 Sn 0.388 0.388 0.000
Sn10 Sn 0.500 0.144 0.644
Sn11 Sn 0.500 0.856 0.356
Sn12 Sn 0.612 0.612 0.000
Sn13 Sn 0.618 0.030 0.000
Sn14 Sn 0.618 0.618 0.588
Sn15 Sn 0.750 0.250 0.500
Sn16 Sn 0.856 0.500 0.356
Sn17 Sn 0.871 0.129 0.000
Sn18 Sn 0.871 0.871 0.742
Sn19 Sn 0.970 0.382 0.000
Sn20 Sn 0.970 0.970 0.588
```

Most intense lines, 5° ≤ 2θ ≤ 70°, in order of rising 2θ:
- 2θ = 30.61°, 2.921 Å, intensity 32
- 2θ = 31.21°, 2.866 Å, intensity 100
- 2θ = 31.74°, 2.819 Å, intensity 93
- 2θ = 31.98°, 2.798 Å, intensity 49
- 2θ = 32.38°, 2.765 Å, intensity 51
- 2θ = 32.52°, 2.754 Å, intensity 69
- 2θ = 34.20°, 2.622 Å, intensity 22
- 2θ = 34.88°, 2.572 Å, intensity 61
- 2θ = 41.76°, 2.163 Å, intensity 23
- 2θ = 46.65°, 1.947 Å, intensity 22



For Nd7Tl3Ga, a crystal structure in Alexandria, relaxed with GGA-PBE gives the calculated X-ray powder pattern in this record (Cu Kα (λ = 1.5418 Å)).

Cell and atoms:
```
data_Nd7Tl3Ga
_chemical_formula_sum 'Nd7 Tl3 Ga1'
_symmetry_space_group_name_H-M 'P 1'
_symmetry_Int_Tables_number 1
_symmetry_space_group_name_Hall 'P 1'
_cell_length_a 8.249
_cell_length_b 8.249
_cell_length_c 8.249
_cell_angle_alpha 138.16
_cell_angle_beta 106.64
_cell_angle_gamma 88.20
loop_
_atom_site_label
_atom_site_type_symbol
_atom_site_fract_x
_atom_site_fract_y
_atom_site_fract_z
Nd1 Nd 0.000 0.000 0.000
Nd2 Nd 0.095 0.763 0.332
Nd3 Nd 0.312 0.500 0.812
Nd4 Nd 0.431 0.763 0.668
Nd5 Nd 0.569 0.237 0.332
Nd6 Nd 0.688 0.500 0.188
Nd7 Nd 0.905 0.237 0.668
Tl1 Tl 0.267 0.267 0.000
Tl2 Tl 0.500 0.000 0.500
Tl3 Tl 0.733 0.733 0.000
Ga1 Ga 0.000 0.500 0.500
```

Most intense lines, 5° ≤ 2θ ≤ 70°, in order of rising 2θ:
- 2θ = 24.73°, 3.601 Å, intensity 22
- 2θ = 30.17°, 2.962 Å, intensity 52
- 2θ = 30.35°, 2.945 Å, intensity 55
- 2θ = 31.18°, 2.869 Å, intensity 12
- 2θ = 32.80°, 2.730 Å, intensity 29
- 2θ = 34.74°, 2.582 Å, intensity 100
- 2θ = 43.33°, 2.088 Å, intensity 39
- 2θ = 56.58°, 1.627 Å, intensity 20
- 2θ = 56.79°, 1.621 Å, intensity 26
- 2θ = 64.97°, 1.435 Å, intensity 22